Simulated powder diffractogram
Compound: MgAl5Cu3
Radiation: Cu Kα, 1.54184 Å
Structure: DFT lattice parameters and positions (GGA-PBE)
Lines closer than 0.1° are merged.

Top 12 peaks for 2θ from 10° to 80°, sorted by position:
| two_theta | d (Å) | intensity |
| --- | --- | --- |
| 22.72 | 3.914 | 100 |
| 25.84 | 3.448 | 31 |
| 32.35 | 2.768 | 34 |
| 37.05 | 2.426 | 36 |
| 37.85 | 2.377 | 25 |
| 38.98 | 2.310 | 70 |
| 40.13 | 2.247 | 26 |
| 40.79 | 2.212 | 41 |
| 43.74 | 2.070 | 46 |
| 45.21 | 2.006 | 38 |
| 45.98 | 1.974 | 31 |
| 46.40 | 1.957 | 47 |

Atomic structure:
```
MgAl5Cu3
1.0
1.441 -6.897 0.000
1.441 6.897 0.000
0.000 0.000 14.261
Mg Al Cu
2 10 6
Direct
0.173 0.827 0.750
0.827 0.173 0.250
0.000 0.000 0.000
0.000 0.000 0.500
0.191 0.809 0.071
0.191 0.809 0.429
0.470 0.530 0.659
0.470 0.530 0.841
0.530 0.470 0.159
0.530 0.470 0.341
0.809 0.191 0.571
0.809 0.191 0.929
0.149 0.851 0.250
0.370 0.630 0.075
0.370 0.630 0.425
0.630 0.370 0.575
0.630 0.370 0.925
0.851 0.149 0.750
```